Computed powder XRD pattern of Sm4MgMo4O14 for copper Kα, from a GGA+U-relaxed structure.

The 12 most intense peaks (2θ from 10° to 80°), sorted by position:
d 3.113, rel. 100
d 3.092, rel. 99
d 2.693, rel. 20
d 2.684, rel. 39
d 1.907, rel. 17
d 1.901, rel. 65
d 1.888, rel. 15
d 1.624, rel. 42
d 1.622, rel. 14
d 1.614, rel. 27
d 1.235, rel. 11
d 1.231, rel. 10

```
Sm4MgMo4O14
1.0
-3.776 3.815 5.387
3.776 -3.815 5.387
3.776 3.815 -5.387
Sm Mg Mo O
4 1 4 14
Direct
0.247 0.000 0.247
0.252 0.007 0.755
0.252 0.497 0.245
0.753 0.000 0.753
0.865 0.365 0.500
0.269 0.506 0.764
0.738 0.510 0.772
0.738 0.966 0.228
0.742 0.506 0.236
0.064 0.564 0.500
0.079 0.174 0.513
0.079 0.566 0.905
0.126 0.126 0.000
0.374 0.874 0.500
0.402 0.417 0.573
0.402 0.829 0.985
0.409 0.409 0.000
0.661 0.161 0.500
0.661 0.174 0.095
0.661 0.566 0.487
0.844 0.417 0.015
0.844 0.829 0.427
0.852 0.852 0.000
```